(1)
# ErTmInC
Theoretical XRD peak list, Cu Kα (weighted mean of Kα1 and Kα2). Input: a cell relaxed with PBE.
No peak broadening, texture or thermal motion is included.

Atomic structure:
Cell: 3.5566 3.5566 16.1324 Å, 90.00 90.00 120.00°
Positions (direct):
Er 0.0000 0.0000 0.1680
Er 0.0000 0.0000 0.8320
Tm 0.3333 0.6667 0.3327
Tm 0.3333 0.6667 0.6673
In 0.0000 0.0000 0.5000
In 0.3333 0.6667 0.0000
C 0.6667 0.3333 0.2506
C 0.6667 0.3333 0.7494

Most intense lines, 2θ from 10° to 90°, in order of rising 2θ:
- 28.99 deg, I 22
- 33.32 deg, I 21
- 33.53 deg, I 100
- 44.74 deg, I 16
- 51.38 deg, I 21
- 59.68 deg, I 19
- 62.63 deg, I 21
- 62.76 deg, I 16
- 82.59 deg, I 8
- 85.31 deg, I 14

(2)
# LaTaNO
Theoretical XRD peak list, Cu Kα (weighted mean of Kα1 and Kα2). Input: a cell relaxed with PBE.
No peak broadening, texture or thermal motion is included.

Atomic structure:
Cell: 4.1789 4.1789 8.3992 Å, 90.00 90.00 90.00°
Positions (direct):
La 0.2500 0.2500 0.1399
La 0.7500 0.7500 0.8601
Ta 0.2500 0.7500 0.5000
Ta 0.7500 0.2500 0.5000
N 0.2500 0.2500 0.4816
N 0.7500 0.7500 0.5184
O 0.2500 0.7500 0.0000
O 0.7500 0.2500 0.0000

Most intense lines, 2θ from 10° to 90°, in order of rising 2θ:
- 10.53 deg, I 46
- 21.16 deg, I 45
- 23.78 deg, I 45
- 30.17 deg, I 39
- 31.97 deg, I 40
- 32.11 deg, I 100
- 37.21 deg, I 53
- 43.30 deg, I 47
- 53.54 deg, I 42
- 72.36 deg, I 36

(3)
# ZrZn20Fe2
Theoretical XRD peak list, Cu Kα (weighted mean of Kα1 and Kα2). Input: a cell relaxed with PBE.
No peak broadening, texture or thermal motion is included.

Atomic structure:
Cell: 9.8080 9.8080 9.8080 Å, 60.00 60.00 60.00°
Positions (direct):
Zr 0.1250 0.1250 0.1250
Zr 0.8750 0.8750 0.8750
Zn 0.0000 0.0000 0.0000
Zn 0.0000 0.0000 0.5000
Zn 0.0000 0.5000 0.0000
Zn 0.0564 0.3246 0.3246
Zn 0.0564 0.3246 0.7944
Zn 0.0564 0.7944 0.3246
Zn 0.2056 0.6754 0.6754
Zn 0.2056 0.6754 0.9436
Zn 0.2056 0.9436 0.6754
Zn 0.2387 0.2387 0.5113
Zn 0.2387 0.5113 0.2387
Zn 0.2387 0.5113 0.5113
Zn 0.3246 0.0564 0.3246
Zn 0.3246 0.0564 0.7944
Zn 0.3246 0.3246 0.0564
Zn 0.3246 0.3246 0.7944
Zn 0.3246 0.7944 0.0564
Zn 0.3246 0.7944 0.3246
Zn 0.4887 0.4887 0.7613
Zn 0.4887 0.7613 0.4887
Zn 0.4887 0.7613 0.7613
Zn 0.5000 0.0000 0.0000
Zn 0.5113 0.2387 0.2387
Zn 0.5113 0.2387 0.5113
Zn 0.5113 0.5113 0.2387
Zn 0.6754 0.2056 0.6754
Zn 0.6754 0.2056 0.9436
Zn 0.6754 0.6754 0.2056
Zn 0.6754 0.6754 0.9436
Zn 0.6754 0.9436 0.2056
Zn 0.6754 0.9436 0.6754
Zn 0.7613 0.4887 0.4887
Zn 0.7613 0.4887 0.7613
Zn 0.7613 0.7613 0.4887
Zn 0.7944 0.0564 0.3246
Zn 0.7944 0.3246 0.0564
Zn 0.7944 0.3246 0.3246
Zn 0.9436 0.2056 0.6754
Zn 0.9436 0.6754 0.2056
Zn 0.9436 0.6754 0.6754
Fe 0.0000 0.5000 0.5000
Fe 0.5000 0.0000 0.5000
Fe 0.5000 0.5000 0.0000
Fe 0.5000 0.5000 0.5000

Most intense lines, 2θ from 10° to 90°, in order of rising 2θ:
- 38.39 deg, I 100
- 38.96 deg, I 18
- 41.16 deg, I 38
- 42.75 deg, I 73
- 43.27 deg, I 77
- 45.30 deg, I 24
- 46.77 deg, I 31
- 56.28 deg, I 23
- 77.92 deg, I 43
- 81.88 deg, I 19